Entry 1:
This entry pairs a crystal structure of Pb2SeO5 with its theoretical PXRD pattern. Radiation: copper Kα. Structure: a crystal structure in Alexandria, relaxed with GGA-PBE.
Kinematic intensities with the Lorentz-polarization factor, no thermal factor.

Cell and atoms:
Lattice parameters (Å, degrees): 5.8782 5.8782 5.8782 120.54 120.54 89.07
Fractional coordinates of all 8 atoms:
1 Pb 0.0000 0.5000 0.5000
2 Pb 0.5000 0.0000 0.5000
3 Se 0.2940 0.2940 0.0000
4 O 0.0929 0.0929 0.0000
5 O 0.1357 0.1357 0.5759
6 O 0.1357 0.5599 0.0000
7 O 0.5599 0.1357 0.0000
8 O 0.5599 0.5599 0.4241

Top 12 peaks for 2θ = 10–80°, by angle:
| two_theta | d/Å | I_rel |
| --- | --- | --- |
| 18.54 | 4.786 | 16 |
| 21.20 | 4.190 | 30 |
| 21.55 | 4.123 | 48 |
| 30.42 | 2.939 | 100 |
| 30.67 | 2.915 | 43 |
| 37.59 | 2.393 | 35 |
| 43.92 | 2.061 | 25 |
| 48.76 | 1.868 | 20 |
| 49.26 | 1.850 | 14 |
| 53.89 | 1.701 | 21 |
| 54.36 | 1.688 | 40 |
| 67.70 | 1.384 | 14 |

---

Entry 2:
This entry pairs a crystal structure of PbSe2O6 with its theoretical PXRD pattern. Radiation: copper Kα. Structure: a crystal structure in Alexandria, relaxed with GGA-PBE.
Kinematic intensities with the Lorentz-polarization factor, no thermal factor.

Cell and atoms:
Lattice parameters (Å, degrees): 5.0038 8.9975 7.3709 90.00 110.60 90.00
Fractional coordinates of all 18 atoms:
1 Pb 0.0000 0.0000 0.0000
2 Pb 0.0000 0.5000 0.5000
3 Se 0.3669 0.1608 0.6981
4 Se 0.3669 0.3392 0.1981
5 Se 0.6331 0.6608 0.8019
6 Se 0.6331 0.8392 0.3019
7 O 0.0935 0.0662 0.7393
8 O 0.0935 0.4338 0.2393
9 O 0.2832 0.1537 0.2189
10 O 0.2832 0.3463 0.7189
11 O 0.3571 0.6606 0.5766
12 O 0.3571 0.8394 0.0766
13 O 0.6429 0.1606 0.9234
14 O 0.6429 0.3394 0.4234
15 O 0.7168 0.6537 0.2811
16 O 0.7168 0.8463 0.7811
17 O 0.9065 0.5662 0.7607
18 O 0.9065 0.9338 0.2607

Top 12 peaks for 2θ = 10–80°, by angle:
| two_theta | d/Å | I_rel |
| --- | --- | --- |
| 16.19 | 5.475 | 100 |
| 21.24 | 4.182 | 35 |
| 23.61 | 3.768 | 24 |
| 26.14 | 3.409 | 58 |
| 27.49 | 3.245 | 61 |
| 28.32 | 3.151 | 48 |
| 32.55 | 2.751 | 24 |
| 32.71 | 2.738 | 28 |
| 35.46 | 2.532 | 26 |
| 37.31 | 2.410 | 19 |
| 40.48 | 2.228 | 21 |
| 44.68 | 2.028 | 22 |

---

Entry 3:
This entry pairs a crystal structure of SrPb2SeO2 with its theoretical PXRD pattern. Radiation: copper Kα. Structure: a crystal structure in Alexandria, relaxed with GGA-PBE.
Kinematic intensities with the Lorentz-polarization factor, no thermal factor.

Cell and atoms:
Lattice parameters (Å, degrees): 7.1114 6.0770 7.2315 90.00 109.19 90.00
Fractional coordinates of all 12 atoms:
1 Sr 0.1658 0.2500 0.4601
2 Sr 0.8342 0.7500 0.5399
3 Pb 0.0757 0.2500 0.9187
4 Pb 0.3683 0.7500 0.8498
5 Pb 0.6317 0.2500 0.1502
6 Pb 0.9243 0.7500 0.0813
7 Se 0.3468 0.7500 0.2610
8 Se 0.6532 0.2500 0.7390
9 O 0.1268 0.5038 0.7174
10 O 0.1268 0.9962 0.7174
11 O 0.8732 0.0038 0.2826
12 O 0.8732 0.4962 0.2826

Top 12 peaks for 2θ = 10–80°, by angle:
| two_theta | d/Å | I_rel |
| --- | --- | --- |
| 12.96 | 6.830 | 41 |
| 25.98 | 3.430 | 22 |
| 29.12 | 3.067 | 100 |
| 29.40 | 3.038 | 68 |
| 30.41 | 2.939 | 83 |
| 33.11 | 2.706 | 26 |
| 40.26 | 2.240 | 31 |
| 44.85 | 2.021 | 29 |
| 50.63 | 1.803 | 23 |
| 51.97 | 1.760 | 20 |
| 52.78 | 1.735 | 18 |
| 56.10 | 1.639 | 14 |

---

Entry 4:
This entry pairs a crystal structure of Tm3PbSeO with its theoretical PXRD pattern. Radiation: copper Kα. Structure: a crystal structure in Alexandria, relaxed with GGA-PBE.
Kinematic intensities with the Lorentz-polarization factor, no thermal factor.

Cell and atoms:
Lattice parameters (Å, degrees): 8.7939 3.9310 8.7966 90.00 102.57 90.00
Fractional coordinates of all 12 atoms:
1 Tm 0.0170 0.2500 0.1590
2 Tm 0.3362 0.7500 0.5775
3 Tm 0.3540 0.7500 0.1075
4 Tm 0.6460 0.2500 0.8925
5 Tm 0.6638 0.2500 0.4225
6 Tm 0.9830 0.7500 0.8410
7 Pb 0.2730 0.2500 0.8204
8 Pb 0.7270 0.7500 0.1796
9 Se 0.3356 0.2500 0.3451
10 Se 0.6644 0.7500 0.6549
11 O 0.0966 0.7500 0.0884
12 O 0.9034 0.2500 0.9116

Top 12 peaks for 2θ = 10–80°, by angle:
| two_theta | d/Å | I_rel |
| --- | --- | --- |
| 10.30 | 8.585 | 30 |
| 16.11 | 5.501 | 19 |
| 27.90 | 3.198 | 13 |
| 30.84 | 2.899 | 42 |
| 31.08 | 2.878 | 100 |
| 31.26 | 2.861 | 57 |
| 34.07 | 2.632 | 15 |
| 40.01 | 2.254 | 38 |
| 46.19 | 1.965 | 23 |
| 47.08 | 1.930 | 13 |
| 48.96 | 1.860 | 15 |
| 56.83 | 1.620 | 21 |

---

What is the formula in the second record?
PbSe2O6

---

Please write out number 4 again, unchanged.
This entry pairs a crystal structure of Tm3PbSeO with its theoretical PXRD pattern. Radiation: copper Kα. Structure: a crystal structure in Alexandria, relaxed with GGA-PBE.
Kinematic intensities with the Lorentz-polarization factor, no thermal factor.

Cell and atoms:
Lattice parameters (Å, degrees): 8.7939 3.9310 8.7966 90.00 102.57 90.00
Fractional coordinates of all 12 atoms:
1 Tm 0.0170 0.2500 0.1590
2 Tm 0.3362 0.7500 0.5775
3 Tm 0.3540 0.7500 0.1075
4 Tm 0.6460 0.2500 0.8925
5 Tm 0.6638 0.2500 0.4225
6 Tm 0.9830 0.7500 0.8410
7 Pb 0.2730 0.2500 0.8204
8 Pb 0.7270 0.7500 0.1796
9 Se 0.3356 0.2500 0.3451
10 Se 0.6644 0.7500 0.6549
11 O 0.0966 0.7500 0.0884
12 O 0.9034 0.2500 0.9116

Top 12 peaks for 2θ = 10–80°, by angle:
| two_theta | d/Å | I_rel |
| --- | --- | --- |
| 10.30 | 8.585 | 30 |
| 16.11 | 5.501 | 19 |
| 27.90 | 3.198 | 13 |
| 30.84 | 2.899 | 42 |
| 31.08 | 2.878 | 100 |
| 31.26 | 2.861 | 57 |
| 34.07 | 2.632 | 15 |
| 40.01 | 2.254 | 38 |
| 46.19 | 1.965 | 23 |
| 47.08 | 1.930 | 13 |
| 48.96 | 1.860 | 15 |
| 56.83 | 1.620 | 21 |